[1]
Structure and theoretical X-ray diffraction stick pattern of Ta6CrRe (a GGA-PBE-relaxed structure; a wavelength of 1.5418 Å).

Principal peaks in the range 2θ from 10° to 90°, sorted by position:
- d 4.285, 2θ 20.73, I = 5
- d 2.883, 2θ 31.01, I = 4
- d 2.303, 2θ 39.11, I = 100
- d 2.264, 2θ 39.81, I = 49
- d 1.658, 2θ 55.43, I = 9
- d 1.601, 2θ 57.57, I = 17
- d 1.338, 2θ 70.39, I = 17
- d 1.315, 2θ 71.81, I = 34
- d 1.152, 2θ 84.05, I = 11
- d 1.132, 2θ 85.84, I = 6

Structure:
a = 7.3635 Å, b = 7.3635 Å, c = 7.3635 Å
α = 144.18°, β = 144.18°, γ = 51.55°
Element x y z (fractional)
Ta 0.1174 0.6174 0.5000
Ta 0.2482 0.2482 0.0000
Ta 0.3826 0.8826 0.5000
Ta 0.6174 0.1174 0.5000
Ta 0.7518 0.7518 0.0000
Ta 0.8826 0.3826 0.5000
Cr 0.0000 0.0000 0.0000
Re 0.5000 0.5000 0.0000

=====

[2]
Structure and theoretical X-ray diffraction stick pattern of PrSiTe3 (a GGA-PBE-relaxed structure; a wavelength of 1.5418 Å).

Principal peaks in the range 2θ from 10° to 90°, sorted by position:
- d 3.323, 2θ 26.83, I = 45
- d 3.280, 2θ 27.18, I = 68
- d 3.150, 2θ 28.33, I = 100
- d 2.998, 2θ 29.80, I = 52
- d 2.984, 2θ 29.95, I = 78
- d 2.837, 2θ 31.54, I = 90
- d 2.759, 2θ 32.46, I = 50
- d 2.705, 2θ 33.11, I = 71
- d 2.636, 2θ 34.02, I = 48
- d 2.093, 2θ 43.22, I = 88

Structure:
a = 8.7616 Å, b = 7.1816 Å, c = 9.8985 Å
α = 90.00°, β = 90.00°, γ = 90.00°
Element x y z (fractional)
Pr 0.1175 0.0387 0.0000
Pr 0.3825 0.5387 0.5000
Pr 0.6175 0.4613 0.0000
Pr 0.8825 0.9613 0.5000
Si 0.0750 0.5290 0.2342
Si 0.4250 0.0290 0.7342
Si 0.5750 0.9710 0.2342
Si 0.9250 0.4710 0.7342
Te 0.0321 0.3849 0.4879
Te 0.1771 0.8394 0.6957
Te 0.1780 0.8501 0.3070
Te 0.3220 0.3501 0.8070
Te 0.3229 0.3394 0.1957
Te 0.4679 0.8849 0.9879
Te 0.5321 0.1151 0.4879
Te 0.6771 0.6606 0.6957
Te 0.6780 0.6499 0.3070
Te 0.8220 0.1499 0.8070
Te 0.8229 0.1606 0.1957
Te 0.9679 0.6151 0.9879

=====

Repeat the first record exactly.
Structure and theoretical X-ray diffraction stick pattern of Ta6CrRe (a GGA-PBE-relaxed structure; a wavelength of 1.5418 Å).

Principal peaks in the range 2θ from 10° to 90°, sorted by position:
- d 4.285, 2θ 20.73, I = 5
- d 2.883, 2θ 31.01, I = 4
- d 2.303, 2θ 39.11, I = 100
- d 2.264, 2θ 39.81, I = 49
- d 1.658, 2θ 55.43, I = 9
- d 1.601, 2θ 57.57, I = 17
- d 1.338, 2θ 70.39, I = 17
- d 1.315, 2θ 71.81, I = 34
- d 1.152, 2θ 84.05, I = 11
- d 1.132, 2θ 85.84, I = 6

Structure:
a = 7.3635 Å, b = 7.3635 Å, c = 7.3635 Å
α = 144.18°, β = 144.18°, γ = 51.55°
Element x y z (fractional)
Ta 0.1174 0.6174 0.5000
Ta 0.2482 0.2482 0.0000
Ta 0.3826 0.8826 0.5000
Ta 0.6174 0.1174 0.5000
Ta 0.7518 0.7518 0.0000
Ta 0.8826 0.3826 0.5000
Cr 0.0000 0.0000 0.0000
Re 0.5000 0.5000 0.0000

=====

Number 1 is which compound? Ta6CrRe